For Te2Mo3S4, a DFT-relaxed cell (GGA-PBE, the Materials Project) gives the computed X-ray powder pattern in this record (Cu Ka).
Lines closer than 0.1° are merged.

Crystal structure
a b c (Å): 3.3045 3.3045 30.4778
angles (deg): 90.00 90.00 120.00
Fractional coordinates of all 9 atoms:
Te 0.0000 0.0000 0.0628
Te 0.0000 0.0000 0.9372
Mo 0.0000 0.0000 0.2314
Mo 0.0000 0.0000 0.7686
Mo 0.3333 0.6667 0.0000
S 0.3333 0.6667 0.1812
S 0.3333 0.6667 0.2816
S 0.3333 0.6667 0.7184
S 0.3333 0.6667 0.8188

Principal peaks in the range 2θ = 10–90°, in order of rising 2θ:
| hkl | 2theta | d (Å) | intensity |
| --- | --- | --- | --- |
| 0 0 4 | 11.61 | 7.619 | 100 |
| 1 0 0 | 31.25 | 2.862 | 43 |
| 1 0 1 | 31.40 | 2.849 | 27 |
| 1 0 6 | 36.02 | 2.493 | 66 |
| 1 0 7 | 37.61 | 2.391 | 78 |
| 1 0 10 | 43.37 | 2.086 | 28 |
| 1 0 11 | 45.57 | 1.991 | 36 |
| 1 1 0 | 55.66 | 1.651 | 39 |